No. 1
Starting from DFT lattice parameters and positions (PBE+U), the powder XRD pattern of Li5AlCo4O10 was computed for λ = 1.5418 Å (Cu Kα).
Intensities are scaled so that the largest is 100.

Crystal structure
```
data_Li5AlCo4O10
_space_group_name_H-M_alt 'R -3 m'
_space_group_IT_number 166
_space_group_name_Hall '-R 3 2"'
_cell_length_a 2.9035
_cell_length_b 2.9035
_cell_length_c 72.5348
_cell_angle_alpha 90.00
_cell_angle_beta 90.00
_cell_angle_gamma 120.00
loop_
_atom_site_label
_atom_site_fract_x
_atom_site_fract_y
_atom_site_fract_z
_atom_site_occupancy
Li1 0.0000 0.0000 0.0000 1
Li2 0.0000 0.0000 0.1996 1
Li3 0.0000 0.0000 0.4000 1
Al1 0.0000 0.0000 0.5000 1
Co1 0.0000 0.0000 0.1001 1
Co2 0.0000 0.0000 0.3000 1
O1 0.0000 0.0000 0.0487 1
O2 0.0000 0.0000 0.1526 1
O3 0.0000 0.0000 0.2491 1
O4 0.0000 0.0000 0.3512 1
O5 0.0000 0.0000 0.4491 1
```

Most intense lines, 2θ from 10° to 90°, sorted by position:
2θ 18.35, intensity 100.0; 2θ 36.26, intensity 41.2; 2θ 37.87, intensity 11.8; 2θ 43.81, intensity 82.5; 2θ 47.87, intensity 14.2; 2θ 57.64, intensity 14.0; 2θ 63.22, intensity 22.6; 2θ 64.15, intensity 22.4; 2θ 67.35, intensity 14.1; 2θ 80.93, intensity 10.3

No. 2
Starting from DFT lattice parameters and positions (PBE+U), the powder XRD pattern of Al2CoP3NO14 was computed for λ = 1.5418 Å (Cu Kα).
Intensities are scaled so that the largest is 100.

Crystal structure
```
data_Al2CoP3NO14
_space_group_name_H-M_alt 'C 1 2/c 1'
_space_group_IT_number 15
_space_group_name_Hall '-C 2yc'
_cell_length_a 13.054
_cell_length_b 10.358
_cell_length_c 8.935
_cell_angle_alpha 90.00
_cell_angle_beta 109.63
_cell_angle_gamma 90.00
loop_
_atom_site_label
_atom_site_fract_x
_atom_site_fract_y
_atom_site_fract_z
_atom_site_occupancy
Al1 0.176 0.077 0.075 1
Co1 0.000 0.285 0.250 1
P1 0.000 0.009 0.250 1
P2 0.210 0.370 0.168 1
N1 0.000 0.361 0.750 1
O1 0.063 0.076 0.890 1
O2 0.073 0.106 0.197 1
O3 0.091 0.387 0.169 1
O4 0.100 0.295 0.462 1
O5 0.213 0.076 0.673 1
O6 0.221 0.446 0.028 1
O7 0.235 0.227 0.159 1
```

Most intense lines, 2θ from 10° to 90°, sorted by position:
2θ 11.17, intensity 22.1; 2θ 16.95, intensity 100.0; 2θ 20.13, intensity 19.0; 2θ 21.12, intensity 16.8; 2θ 26.83, intensity 24.2; 2θ 27.95, intensity 13.6; 2θ 29.05, intensity 10.6; 2θ 29.48, intensity 18.5; 2θ 29.68, intensity 34.7; 2θ 33.27, intensity 14.8

No. 3
Starting from DFT lattice parameters and positions (PBE+U), the powder XRD pattern of AlCoO3 was computed for λ = 1.5418 Å (Cu Kα).
Intensities are scaled so that the largest is 100.

Crystal structure
```
data_AlCoO3
_space_group_name_H-M_alt 'P 1'
_space_group_IT_number 1
_space_group_name_Hall 'P 1'
_cell_length_a 4.860
_cell_length_b 4.877
_cell_length_c 5.187
_cell_angle_alpha 63.81
_cell_angle_beta 89.94
_cell_angle_gamma 61.31
loop_
_atom_site_label
_atom_site_fract_x
_atom_site_fract_y
_atom_site_fract_z
_atom_site_occupancy
Al1 0.000 0.000 0.000 1
Al2 0.303 0.399 0.907 1
Co1 0.510 0.973 0.516 1
Co2 0.798 0.407 0.399 1
O1 0.075 0.532 0.184 1
O2 0.214 0.864 0.724 1
O3 0.378 0.924 0.186 1
O4 0.593 0.206 0.699 1
O5 0.707 0.205 0.188 1
O6 0.917 0.487 0.707 1
```

Most intense lines, 2θ from 10° to 90°, sorted by position:
2θ 25.20, intensity 90.7; 2θ 33.29, intensity 100.0; 2θ 33.93, intensity 89.0; 2θ 34.84, intensity 70.3; 2θ 36.24, intensity 71.8; 2θ 36.90, intensity 54.6; 2θ 37.01, intensity 57.9; 2θ 40.62, intensity 58.6; 2θ 42.55, intensity 59.6; 2θ 56.89, intensity 69.3

No. 4
Starting from DFT lattice parameters and positions (PBE+U), the powder XRD pattern of AlCoO3 was computed for λ = 1.5418 Å (Cu Kα).
Intensities are scaled so that the largest is 100.

Crystal structure
```
data_AlCoO3
_space_group_name_H-M_alt 'R -3'
_space_group_IT_number 148
_space_group_name_Hall '-R 3'
_cell_length_a 4.8276
_cell_length_b 4.8276
_cell_length_c 13.0831
_cell_angle_alpha 90.00
_cell_angle_beta 90.00
_cell_angle_gamma 120.00
loop_
_atom_site_label
_atom_site_fract_x
_atom_site_fract_y
_atom_site_fract_z
_atom_site_occupancy
Al1 0.0000 0.0000 0.1474 1
Co1 0.0000 0.0000 0.3448 1
O1 0.0010 0.3049 0.7511 1
```

Most intense lines, 2θ from 10° to 90°, sorted by position:
2θ 20.36, intensity 35.8; 2θ 22.32, intensity 24.9; 2θ 25.28, intensity 74.2; 2θ 34.83, intensity 92.6; 2θ 37.25, intensity 83.8; 2θ 42.82, intensity 74.1; 2θ 51.91, intensity 41.3; 2θ 56.91, intensity 100.0; 2θ 65.61, intensity 34.4; 2θ 67.17, intensity 50.5

No. 5
Starting from DFT lattice parameters and positions (PBE+U), the powder XRD pattern of AlCoO3 was computed for λ = 1.5418 Å (Cu Kα).
Intensities are scaled so that the largest is 100.

Crystal structure
```
data_AlCoO3
_space_group_name_H-M_alt 'P 1'
_space_group_IT_number 1
_space_group_name_Hall 'P 1'
_cell_length_a 4.847
_cell_length_b 4.872
_cell_length_c 5.203
_cell_angle_alpha 64.27
_cell_angle_beta 89.90
_cell_angle_gamma 61.06
loop_
_atom_site_label
_atom_site_fract_x
_atom_site_fract_y
_atom_site_fract_z
_atom_site_occupancy
Al1 0.000 0.000 0.000 1
Al2 0.310 0.390 0.912 1
Co1 0.503 0.971 0.518 1
Co2 0.803 0.413 0.401 1
O1 0.076 0.533 0.184 1
O2 0.222 0.856 0.728 1
O3 0.384 0.920 0.180 1
O4 0.600 0.206 0.703 1
O5 0.715 0.207 0.194 1
O6 0.927 0.484 0.707 1
```

Most intense lines, 2θ from 10° to 90°, sorted by position:
2θ 25.22, intensity 94.7; 2θ 33.20, intensity 100.0; 2θ 33.70, intensity 96.2; 2θ 34.79, intensity 71.2; 2θ 36.46, intensity 72.9; 2θ 37.10, intensity 57.1; 2θ 40.70, intensity 60.4; 2θ 42.54, intensity 58.7; 2θ 51.77, intensity 62.4; 2θ 56.82, intensity 68.0

No. 6
Starting from DFT lattice parameters and positions (PBE+U), the powder XRD pattern of Al2CoO4 was computed for λ = 1.5418 Å (Cu Kα).
Intensities are scaled so that the largest is 100.

Crystal structure
```
data_Al2CoO4
_space_group_name_H-M_alt 'R 3 m'
_space_group_IT_number 160
_space_group_name_Hall 'R 3 -2"'
_cell_length_a 5.7786
_cell_length_b 5.7786
_cell_length_c 56.7764
_cell_angle_alpha 90.00
_cell_angle_beta 90.00
_cell_angle_gamma 120.00
loop_
_atom_site_label
_atom_site_fract_x
_atom_site_fract_y
_atom_site_fract_z
_atom_site_occupancy
Al1 0.0000 0.0000 0.0000 1
Al2 0.0000 0.0000 0.0948 1
Al3 0.0000 0.0000 0.2508 1
Al4 0.0000 0.0000 0.8446 1
Al5 0.9997 0.4998 0.4697 1
Al6 0.1684 0.3369 0.5532 1
Al7 0.1687 0.3374 0.0535 1
Al8 0.1701 0.3402 0.3033 1
Co1 0.0000 0.0000 0.1886 1
Co2 0.0000 0.0000 0.3457 1
Co3 0.0000 0.0000 0.4389 1
Co4 0.0000 0.0000 0.5016 1
Co5 0.0000 0.0000 0.5952 1
Co6 0.0000 0.0000 0.6896 1
Co7 0.0000 0.0000 0.7503 1
Co8 0.0000 0.0000 0.9392 1
O1 0.0000 0.0000 0.0326 1
O2 0.0000 0.0000 0.1539 1
O3 0.0000 0.0000 0.2839 1
O4 0.0000 0.0000 0.4046 1
O5 0.0000 0.0000 0.5373 1
O6 0.0000 0.0000 0.6547 1
O7 0.0000 0.0000 0.7858 1
O8 0.0000 0.0000 0.9040 1
O9 0.0255 0.5128 0.0359 1
O10 0.0270 0.5135 0.2854 1
O11 0.0391 0.5195 0.7837 1
O12 0.0404 0.5202 0.5333 1
O13 0.1678 0.3355 0.2385 1
O14 0.1722 0.3445 0.9885 1
O15 0.1855 0.3709 0.4895 1
O16 0.1885 0.3769 0.7394 1
```

Most intense lines, 2θ from 10° to 90°, sorted by position:
2θ 30.93, intensity 53.8; 2θ 36.43, intensity 100.0; 2θ 44.29, intensity 14.4; 2θ 55.03, intensity 11.4; 2θ 58.59, intensity 7.6; 2θ 58.66, intensity 32.6; 2θ 64.37, intensity 24.9; 2θ 64.50, intensity 25.8; 2θ 73.16, intensity 6.3; 2θ 76.39, intensity 7.8